Computed powder XRD pattern of KNa4SnSb3 for Cu Ka, from the GGA-PBE geometry in the Materials Project.
Kinematic intensities with the Lorentz-polarization factor, no thermal factor.

Top 12 peaks for 2θ = 10–80°, by angle:
| two_theta | d (Å) | I/Imax |
| --- | --- | --- |
| 11.24 | 7.871 | 92 |
| 20.42 | 4.349 | 71 |
| 21.17 | 4.196 | 93 |
| 21.92 | 4.054 | 94 |
| 29.48 | 3.030 | 90 |
| 29.58 | 3.020 | 99 |
| 33.47 | 2.677 | 62 |
| 34.10 | 2.629 | 71 |
| 34.37 | 2.609 | 65 |
| 36.31 | 2.474 | 100 |
| 37.57 | 2.394 | 57 |
| 38.21 | 2.355 | 56 |

Structure:
a = 9.2623 Å, b = 8.3917 Å, c = 17.4309 Å
α = 90.00°, β = 121.62°, γ = 90.00°
Atoms (fractional coordinates):
K (0.0877, 0.0245, 0.4129)
K (0.0877, 0.4755, 0.9129)
K (0.9123, 0.5245, 0.0871)
K (0.9123, 0.9755, 0.5871)
Na (0.1624, 0.1609, 0.0829)
Na (0.1624, 0.3391, 0.5829)
Na (0.1717, 0.6261, 0.7414)
Na (0.1717, 0.8739, 0.2414)
Na (0.2263, 0.5515, 0.4052)
Na (0.2263, 0.9485, 0.9052)
Na (0.4280, 0.5031, 0.2585)
Na (0.4280, 0.9969, 0.7585)
Na (0.5720, 0.0031, 0.2415)
Na (0.5720, 0.4969, 0.7415)
Na (0.7737, 0.0515, 0.0948)
Na (0.7737, 0.4485, 0.5948)
Na (0.8283, 0.1261, 0.7586)
Na (0.8283, 0.3739, 0.2586)
Na (0.8376, 0.6609, 0.4171)
Na (0.8376, 0.8391, 0.9171)
Sn (0.4787, 0.1517, 0.4099)
Sn (0.4787, 0.3483, 0.9099)
Sn (0.5213, 0.6517, 0.0901)
Sn (0.5213, 0.8483, 0.5901)
Sb (0.1642, 0.2404, 0.7609)
Sb (0.1642, 0.2596, 0.2609)
Sb (0.2331, 0.7113, 0.5849)
Sb (0.2331, 0.7887, 0.0849)
Sb (0.4849, 0.1996, 0.5775)
Sb (0.4849, 0.3004, 0.0775)
Sb (0.5151, 0.6996, 0.9225)
Sb (0.5151, 0.8004, 0.4225)
Sb (0.7669, 0.2113, 0.9151)
Sb (0.7669, 0.2887, 0.4151)
Sb (0.8358, 0.7404, 0.7391)
Sb (0.8358, 0.7596, 0.2391)


Computed powder XRD pattern of Pr3Mn4Sn4 for Cu Ka, from the GGA-PBE geometry in the Materials Project.
Kinematic intensities with the Lorentz-polarization factor, no thermal factor.

Top 12 peaks for 2θ = 10–80°, by angle:
| two_theta | d (Å) | I/Imax |
| --- | --- | --- |
| 31.37 | 2.852 | 100 |
| 31.71 | 2.822 | 30 |
| 32.68 | 2.740 | 99 |
| 38.76 | 2.323 | 42 |
| 40.49 | 2.228 | 21 |
| 43.03 | 2.102 | 39 |
| 47.26 | 1.923 | 14 |
| 50.91 | 1.794 | 16 |
| 57.30 | 1.608 | 15 |
| 62.71 | 1.482 | 14 |
| 65.60 | 1.423 | 17 |
| 70.98 | 1.328 | 23 |

Structure:
a = 8.7954 Å, b = 8.7954 Å, c = 8.7954 Å
α = 149.37°, β = 129.99°, γ = 59.79°
Atoms (fractional coordinates):
Pr (0.0000, 0.0000, 0.0000)
Pr (0.3721, 0.8721, 0.5000)
Pr (0.6279, 0.1279, 0.5000)
Mn (0.0144, 0.3279, 0.6865)
Mn (0.3586, 0.6721, 0.6865)
Mn (0.6414, 0.3279, 0.3135)
Mn (0.9856, 0.6721, 0.3135)
Sn (0.2157, 0.2157, 0.0000)
Sn (0.3010, 0.5000, 0.8010)
Sn (0.6990, 0.5000, 0.1990)
Sn (0.7843, 0.7843, 0.0000)


Computed powder XRD pattern of LaMg14B for Cu Ka, from the GGA-PBE geometry in the Materials Project.
Kinematic intensities with the Lorentz-polarization factor, no thermal factor.

Top 12 peaks for 2θ = 10–80°, by angle:
| two_theta | d (Å) | I/Imax |
| --- | --- | --- |
| 15.90 | 5.575 | 20 |
| 18.12 | 4.897 | 45 |
| 29.08 | 3.071 | 19 |
| 30.70 | 2.912 | 19 |
| 32.11 | 2.788 | 27 |
| 35.04 | 2.561 | 24 |
| 36.71 | 2.448 | 100 |
| 48.26 | 1.886 | 16 |
| 57.24 | 1.609 | 17 |
| 63.94 | 1.456 | 19 |
| 68.91 | 1.363 | 18 |
| 69.95 | 1.345 | 14 |

Structure:
a = 6.4376 Å, b = 6.4376 Å, c = 10.2438 Å
α = 90.00°, β = 90.00°, γ = 120.00°
Atoms (fractional coordinates):
La (0.0000, 0.0000, 0.0000)
Mg (0.0149, 0.5075, 0.0000)
Mg (0.1623, 0.3246, 0.2697)
Mg (0.1623, 0.3246, 0.7303)
Mg (0.1623, 0.8377, 0.2697)
Mg (0.1623, 0.8377, 0.7303)
Mg (0.4925, 0.5075, 0.0000)
Mg (0.4925, 0.9851, 0.0000)
Mg (0.5040, 0.0080, 0.5000)
Mg (0.5040, 0.4960, 0.5000)
Mg (0.6667, 0.3333, 0.2393)
Mg (0.6667, 0.3333, 0.7607)
Mg (0.6754, 0.8377, 0.2697)
Mg (0.6754, 0.8377, 0.7303)
Mg (0.9920, 0.4960, 0.5000)
B (0.0000, 0.0000, 0.5000)


Computed powder XRD pattern of BaRhF6 for Cu Ka, from the GGA-PBE geometry in the Materials Project.
Kinematic intensities with the Lorentz-polarization factor, no thermal factor.

Top 12 peaks for 2θ = 10–80°, by angle:
| two_theta | d (Å) | I/Imax |
| --- | --- | --- |
| 23.37 | 3.807 | 100 |
| 27.84 | 3.205 | 60 |
| 36.66 | 2.451 | 21 |
| 38.14 | 2.359 | 9 |
| 41.07 | 2.198 | 14 |
| 43.93 | 2.061 | 64 |
| 47.79 | 1.903 | 18 |
| 51.75 | 1.766 | 10 |
| 56.21 | 1.636 | 14 |
| 61.70 | 1.503 | 10 |
| 62.94 | 1.477 | 21 |
| 64.80 | 1.439 | 12 |

Structure:
a = 5.0295 Å, b = 5.0295 Å, c = 5.0295 Å
α = 98.38°, β = 98.38°, γ = 98.38°
Atoms (fractional coordinates):
Ba (0.0000, 0.0000, 0.0000)
Rh (0.5000, 0.5000, 0.5000)
F (0.2207, 0.2207, 0.5731)
F (0.2207, 0.5731, 0.2207)
F (0.4269, 0.7793, 0.7793)
F (0.5731, 0.2207, 0.2207)
F (0.7793, 0.4269, 0.7793)
F (0.7793, 0.7793, 0.4269)


Computed powder XRD pattern of Ni4RuN4 for Cu Ka, from the GGA-PBE geometry in the Materials Project.
Kinematic intensities with the Lorentz-polarization factor, no thermal factor.

Top 12 peaks for 2θ = 10–80°, by angle:
| two_theta | d (Å) | I/Imax |
| --- | --- | --- |
| 31.29 | 2.859 | 29 |
| 35.73 | 2.513 | 99 |
| 36.61 | 2.455 | 100 |
| 37.37 | 2.406 | 67 |
| 38.59 | 2.333 | 36 |
| 38.97 | 2.311 | 51 |
| 39.29 | 2.293 | 22 |
| 44.14 | 2.052 | 25 |
| 44.25 | 2.047 | 21 |
| 50.05 | 1.822 | 33 |
| 55.19 | 1.664 | 29 |
| 60.93 | 1.520 | 25 |

Structure:
a = 4.7265 Å, b = 4.7727 Å, c = 8.6034 Å
α = 78.63°, β = 78.87°, γ = 79.62°
Atoms (fractional coordinates):
Ni (0.1374, 0.1729, 0.4033)
Ni (0.1757, 0.2064, 0.0139)
Ni (0.1806, 0.7010, 0.2011)
Ni (0.3225, 0.3762, 0.5906)
Ni (0.6775, 0.6238, 0.4094)
Ni (0.8194, 0.2990, 0.7989)
Ni (0.8243, 0.7936, 0.9861)
Ni (0.8626, 0.8271, 0.5967)
Ru (0.3233, 0.8435, 0.7811)
Ru (0.6767, 0.1565, 0.2189)
N (0.0694, 0.1018, 0.6390)
N (0.2044, 0.6063, 0.9923)
N (0.4170, 0.4272, 0.3462)
N (0.4772, 0.9394, 0.1220)
N (0.5228, 0.0606, 0.8780)
N (0.5830, 0.5728, 0.6538)
N (0.7956, 0.3937, 0.0077)
N (0.9306, 0.8982, 0.3610)


Computed powder XRD pattern of Sc3OsC4 for Cu Ka, from the GGA-PBE geometry in the Materials Project.
Kinematic intensities with the Lorentz-polarization factor, no thermal factor.

Top 12 peaks for 2θ = 10–80°, by angle:
| two_theta | d (Å) | I/Imax |
| --- | --- | --- |
| 14.28 | 6.204 | 72 |
| 21.07 | 4.217 | 55 |
| 27.51 | 3.242 | 22 |
| 28.78 | 3.102 | 20 |
| 34.40 | 2.607 | 24 |
| 36.43 | 2.467 | 100 |
| 40.22 | 2.242 | 20 |
| 41.60 | 2.171 | 23 |
| 44.60 | 2.031 | 38 |
| 50.21 | 1.817 | 15 |
| 53.94 | 1.700 | 20 |
| 70.03 | 1.344 | 21 |

Structure:
a = 6.8074 Å, b = 6.8074 Å, c = 6.7175 Å
α = 104.31°, β = 104.31°, γ = 38.46°
Atoms (fractional coordinates):
Sc (0.0000, 0.0000, 0.0000)
Sc (0.0000, 0.0000, 0.5000)
Sc (0.3082, 0.3082, 0.4037)
Sc (0.3105, 0.3105, 0.9056)
Sc (0.6895, 0.6895, 0.0944)
Sc (0.6918, 0.6918, 0.5963)
Os (0.4997, 0.4997, 0.2638)
Os (0.5003, 0.5003, 0.7362)
C (0.0321, 0.7113, 0.1867)
C (0.0335, 0.7118, 0.6853)
C (0.2882, 0.9665, 0.3147)
C (0.2887, 0.9679, 0.8133)
C (0.7113, 0.0321, 0.1867)
C (0.7118, 0.0335, 0.6853)
C (0.9665, 0.2882, 0.3147)
C (0.9679, 0.2887, 0.8133)


Computed powder XRD pattern of K2CdAu4S4 for Cu Ka, from the GGA-PBE geometry in the Materials Project.
Kinematic intensities with the Lorentz-polarization factor, no thermal factor.

Top 12 peaks for 2θ = 10–80°, by angle:
| two_theta | d (Å) | I/Imax |
| --- | --- | --- |
| 11.87 | 7.453 | 100 |
| 14.88 | 5.953 | 26 |
| 28.25 | 3.159 | 57 |
| 29.10 | 3.069 | 53 |
| 30.02 | 2.977 | 79 |
| 32.39 | 2.764 | 50 |
| 34.83 | 2.576 | 22 |
| 35.30 | 2.543 | 25 |
| 36.90 | 2.436 | 25 |
| 46.10 | 1.969 | 22 |
| 48.84 | 1.865 | 42 |
| 58.43 | 1.579 | 21 |

Structure:
a = 9.8754 Å, b = 9.8754 Å, c = 9.8754 Å
α = 137.68°, β = 113.56°, γ = 82.00°
Atoms (fractional coordinates):
K (0.1517, 0.1614, 0.3131)
K (0.3483, 0.6614, 0.0097)
K (0.6517, 0.3386, 0.9903)
K (0.8483, 0.8386, 0.6869)
Cd (0.2500, 0.2500, 0.0000)
Cd (0.7500, 0.7500, 0.0000)
Au (0.0000, 0.0000, 0.5000)
Au (0.0000, 0.5000, 0.0000)
Au (0.1374, 0.6374, 0.5000)
Au (0.3626, 0.8626, 0.5000)
Au (0.5000, 0.0000, 0.0000)
Au (0.5000, 0.5000, 0.5000)
Au (0.6374, 0.1374, 0.5000)
Au (0.8626, 0.3626, 0.5000)
S (0.0191, 0.3502, 0.1081)
S (0.2421, 0.9110, 0.8919)
S (0.2579, 0.1498, 0.6689)
S (0.4809, 0.5890, 0.3311)
S (0.5191, 0.4110, 0.6689)
S (0.7421, 0.8502, 0.3311)
S (0.7579, 0.0890, 0.1081)
S (0.9809, 0.6498, 0.8919)


Computed powder XRD pattern of Na4Ga2Si2SO12 for Cu Ka, from the GGA-PBE geometry in the Materials Project.
Kinematic intensities with the Lorentz-polarization factor, no thermal factor.

Top 12 peaks for 2θ = 10–80°, by angle:
| two_theta | d (Å) | I/Imax |
| --- | --- | --- |
| 19.86 | 4.471 | 93 |
| 19.94 | 4.453 | 33 |
| 23.33 | 3.813 | 29 |
| 28.26 | 3.157 | 42 |
| 30.93 | 2.891 | 25 |
| 31.62 | 2.830 | 100 |
| 31.73 | 2.820 | 49 |
| 34.77 | 2.580 | 56 |
| 34.96 | 2.567 | 29 |
| 47.67 | 1.908 | 26 |
| 47.76 | 1.904 | 21 |
| 60.35 | 1.534 | 26 |

Structure:
a = 8.9064 Å, b = 8.9064 Å, c = 8.9135 Å
α = 119.67°, β = 119.67°, γ = 60.34°
Atoms (fractional coordinates):
Na (0.0598, 0.9402, 0.5000)
Na (0.1858, 0.4258, 0.9811)
Na (0.3085, 0.8257, 0.2439)
Na (0.4258, 0.1858, 0.4811)
Na (0.5664, 0.7067, 0.0010)
Na (0.7067, 0.5664, 0.5010)
Na (0.8257, 0.3085, 0.7439)
Na (0.9402, 0.0598, 0.0000)
Ga (0.1340, 0.6823, 0.7968)
Ga (0.4599, 0.9646, 0.6921)
Ga (0.6823, 0.1340, 0.2968)
Ga (0.9646, 0.4599, 0.1921)
Si (0.0623, 0.2729, 0.4935)
Si (0.2729, 0.0623, 0.9935)
Si (0.7668, 0.8543, 0.4909)
Si (0.8543, 0.7668, 0.9909)
S (0.3555, 0.5623, 0.4950)
S (0.5623, 0.3555, 0.9950)
O (0.0435, 0.2956, 0.3129)
O (0.0473, 0.7413, 0.9832)
O (0.0840, 0.2404, 0.0103)
O (0.0930, 0.4530, 0.6761)
O (0.1912, 0.5404, 0.3289)
O (0.2404, 0.0840, 0.5103)
O (0.2566, 0.8751, 0.9745)
O (0.2956, 0.0435, 0.8129)
O (0.3334, 0.5843, 0.6589)
O (0.3755, 0.7249, 0.5061)
O (0.4032, 0.5238, 0.9757)
O (0.4530, 0.0930, 0.1761)
O (0.5238, 0.4032, 0.4757)
O (0.5404, 0.1912, 0.8289)
O (0.5821, 0.8792, 0.5138)
O (0.5843, 0.3334, 0.1589)
O (0.6708, 0.7932, 0.8118)
O (0.7249, 0.3755, 0.0061)
O (0.7413, 0.0473, 0.4832)
O (0.7932, 0.6708, 0.3118)
O (0.8399, 0.9520, 0.1697)
O (0.8751, 0.2566, 0.4745)
O (0.8792, 0.5821, 0.0138)
O (0.9520, 0.8399, 0.6697)